For Ga2GeMo8S16, a GGA-PBE-relaxed structure gives the theoretical X-ray powder pattern in this record (CuKα).

Peak list (6 most intense, 10 to 80 degrees two-theta, most intense first)
| Position (°2θ) | I (rel.) |
| --- | --- |
| 14.87 | 100 |
| 15.16 | 40 |
| 36.69 | 37 |
| 29.83 | 37 |
| 47.98 | 35 |
| 54.25 | 28 |

Crystal structure
a b c (Å): 6.9283 6.9283 11.6856
angles (deg): 90.00 90.00 90.00
Space group P-4m2 (No. 115)
One atom of each set of equivalent atoms:
Ga (0.0000, 0.5000, 0.2081) (multiplicity 2)
Ge (0.0000, 0.0000, 0.5000) (multiplicity 1)
Mo (0.0000, 0.2949, 0.7078) (multiplicity 4)
Mo (0.2080, 0.5000, 0.8743) (multiplicity 4)
S (0.0000, 0.2252, 0.3227) (multiplicity 4)
S (0.0000, 0.2342, 0.9034) (multiplicity 4)
S (0.2665, 0.5000, 0.6741) (multiplicity 4)
S (0.2735, 0.5000, 0.0955) (multiplicity 4)